Structure and theoretical powder X-ray diffraction pattern of Ac3SnPb2 (the GGA-PBE geometry in Alexandria; CuKα).

Main lines, by angle (2θ from 10° to 90°):
d_spacing  I (rel.)
3.090  70
3.008  100
2.977  74
2.959  68
2.838  52
2.662  39
2.254  34
1.734  29

Atomic structure:
```
12
Lattice="9.130 -3.477 0.000 9.130 3.477 0.000 -1.430 0.000 6.745" Properties=species:S:1:pos:R:3 pbc="T T T"
Ac 8.058 2.528 5.059
Ac 5.516 0.829 2.634
Ac 4.801 -0.829 6.006
Ac 12.031 0.829 0.739
Ac 11.316 -0.829 4.111
Ac 8.773 -2.528 1.686
Sn 8.773 0.930 1.686
Sn 8.058 -0.930 5.059
Pb 2.870 0.765 0.437
Pb 2.156 -0.765 3.809
Pb 14.676 0.765 2.936
Pb 13.961 -0.765 6.308
```